The following is a simulated powder XRD pattern of SiP4H8. It was derived from a structure optimized by DFT (GGA-PBE), using CuKα.

Main lines, by intensity (2θ = 15–90°):
2θ (°)	I_rel	h k l
26.41	100.0	1 2 1
23.51	96.8	2 1 -2
24.50	92.9	2 0 2
26.47	90.6	1 1 -3
15.44	84.3	1 1 -1
26.64	82.5	3 1 -1
15.94	71.4	2 0 0
16.86	61.2	1 1 1
23.35	51.0	0 2 0
16.37	49.1	1 0 -2

Cell and atoms:
Cell: 11.3026 7.6202 11.4016 Å, 90.00 100.40 90.00°
Sites, in units of the cell vectors:
Si1 0.2477 0.0601 0.3554
Si2 0.2477 0.4399 0.8554
Si3 0.7523 0.5601 0.1446
Si4 0.7523 0.9399 0.6446
P1 0.0858 0.0395 0.2052
P2 0.0858 0.4605 0.7052
P3 0.1944 0.5681 0.0185
P4 0.1944 0.9319 0.5185
P5 0.2933 0.1556 0.9069
P6 0.2933 0.3444 0.4069
P7 0.4114 0.5741 0.8044
P8 0.4114 0.9259 0.3044
P9 0.5886 0.0741 0.6956
P10 0.5886 0.4259 0.1956
P11 0.7067 0.6556 0.5931
P12 0.7067 0.8444 0.0931
P13 0.8056 0.0681 0.4815
P14 0.8056 0.4319 0.9815
P15 0.9142 0.5395 0.2948
P16 0.9142 0.9605 0.7948
H1 0.0151 0.1628 0.2576
H2 0.0151 0.3372 0.7576
H3 0.1299 0.1698 0.1337
H4 0.1299 0.3302 0.6337
H5 0.2001 0.7428 0.9738
H6 0.2001 0.7572 0.4738
H7 0.3160 0.5729 0.0816
H8 0.3160 0.9271 0.5816
H9 0.3431 0.1232 0.8021
H10 0.3431 0.3768 0.3021
H11 0.3486 0.7316 0.7632
H12 0.3486 0.7684 0.2632
H13 0.3941 0.0009 0.1875
H14 0.3941 0.4991 0.6875
H15 0.4082 0.1979 0.9768
H16 0.4082 0.3021 0.4768
H17 0.5918 0.6979 0.5232
H18 0.5918 0.8021 0.0232
H19 0.6059 0.5009 0.3125
H20 0.6059 0.9991 0.8125
H21 0.6514 0.2316 0.7368
H22 0.6514 0.2684 0.2368
H23 0.6569 0.6232 0.6979
H24 0.6569 0.8768 0.1979
H25 0.6840 0.0729 0.4184
H26 0.6840 0.4271 0.9184
H27 0.7999 0.2428 0.5262
H28 0.7999 0.2572 0.0262
H29 0.8701 0.6698 0.3663
H30 0.8701 0.8302 0.8663
H31 0.9849 0.6628 0.2424
H32 0.9849 0.8372 0.7424